The following is a computed powder diffraction line list of Ho2GeS4. It was derived from the PBE geometry in Alexandria, using Cu Kα.

```
Ho2GeS4
1.0
6.082 0.000 0.000
0.000 6.082 0.000
0.000 0.000 11.997
Ho Ge S
4 2 8
direct
0.000 0.500 0.250
0.000 0.500 0.750
0.500 0.000 0.250
0.500 0.000 0.750
0.000 0.000 0.000
0.500 0.500 0.500
0.244 0.244 0.128
0.244 0.756 0.872
0.256 0.256 0.628
0.256 0.744 0.372
0.744 0.256 0.372
0.744 0.744 0.628
0.756 0.244 0.872
0.756 0.756 0.128
```

The 6 most intense peaks (10° ≤ 2θ ≤ 90°), by angle:
h k l	two_theta	I_rel
0 0 2	14.8	31.8
1 1 0	20.7	28.5
1 1 2	25.5	100.0
2 2 0	42.0	20.5
2 0 4	42.3	40.1
3 1 2	49.8	31.7